Record 1
Starting from a PBE-relaxed structure, the X-ray powder pattern of Ge7H18O23 was calculated for Cu Kα X-rays.
Lines closer than 0.1° are merged.

Peak list (10 most intense, 2θ = 10–90°, in order of falling intensity)
11.44°, I = 100, hkl 1 0 0
11.13°, I = 53, hkl 0 0 1
19.92°, I = 13, hkl 1 -1 1
28.32°, I = 12, hkl 1 2 -1
19.59°, I = 10, hkl -1 1 1
36.69°, I = 9, hkl 3 0 1
27.87°, I = 9, hkl -1 2 1
38.67°, I = 8, hkl -3 1 1
28.05°, I = 8, hkl 1 -1 2
19.36°, I = 8, hkl 1 1 1

Atomic structure:
```
data_Ge7H18O23
_cell_length_a 7.716
_cell_length_b 7.766
_cell_length_c 7.954
_cell_angle_alpha 88.06
_cell_angle_beta 89.58
_cell_angle_gamma 89.43
_space_group_name_H-M_alt 'P 1'
_space_group_IT_number 1
loop_
_space_group_symop_operation_xyz
'x,y,z'
loop_
_atom_site_label
_atom_site_type_symbol
_atom_site_fract_x
_atom_site_fract_y
_atom_site_fract_z
Ge1 Ge 0.000 0.000 0.000
Ge2 Ge 0.005 0.278 0.727
Ge3 Ge 0.354 0.150 0.864
Ge4 Ge 0.724 0.282 0.985
Ge5 Ge 0.743 0.014 0.719
Ge6 Ge 0.853 0.140 0.341
Ge7 Ge 0.862 0.651 0.853
H1 H 0.025 0.719 0.416
H2 H 0.067 0.618 0.609
H3 H 0.082 0.342 0.396
H4 H 0.143 0.503 0.141
H5 H 0.229 0.666 0.458
H6 H 0.284 0.055 0.400
H7 H 0.288 0.695 0.907
H8 H 0.307 0.393 0.179
H9 H 0.418 0.468 0.561
H10 H 0.445 0.938 0.282
H11 H 0.446 0.702 0.258
H12 H 0.458 0.873 0.788
H13 H 0.479 0.613 0.905
H14 H 0.493 0.079 0.433
H15 H 0.518 0.636 0.588
H16 H 0.629 0.781 0.283
H17 H 0.784 0.563 0.412
H18 H 0.835 0.608 0.227
O1 O 0.003 0.758 0.987
O2 O 0.120 0.717 0.502
O3 O 0.220 0.467 0.232
O4 O 0.236 0.007 0.992
O5 O 0.244 0.276 0.708
O6 O 0.395 0.687 0.842
O7 O 0.399 0.067 0.347
O8 O 0.461 0.571 0.501
O9 O 0.484 0.280 0.983
O10 O 0.487 0.997 0.744
O11 O 0.514 0.805 0.228
O12 O 0.710 0.041 0.486
O13 O 0.721 0.522 0.975
O14 O 0.731 0.284 0.217
O15 O 0.740 0.778 0.710
O16 O 0.748 0.265 0.736
O17 O 0.753 0.024 0.969
O18 O 0.826 0.658 0.338
O19 O 0.984 0.265 0.966
O20 O 0.988 0.032 0.731
O21 O 0.994 0.003 0.235
O22 O 0.994 0.279 0.467
O23 O 0.996 0.523 0.715
```

Record 2
Starting from a PBE-relaxed structure, the X-ray powder pattern of Ge7H18O23 was calculated for Cu Kα X-rays.
Lines closer than 0.1° are merged.

Peak list (10 most intense, 2θ = 10–90°, in order of falling intensity)
11.39°, I = 100, hkl 0 1 0
11.13°, I = 95, hkl 0 0 1
11.54°, I = 84, hkl 1 0 0
19.61°, I = 30, hkl 1 1 -1
27.96°, I = 22, hkl 1 1 2
28.09°, I = 22, hkl 1 -2 1
19.86°, I = 21, hkl 1 1 1
27.59°, I = 16, hkl -1 1 2
28.18°, I = 15, hkl 2 1 -1
32.17°, I = 14, hkl 0 2 -2

Atomic structure:
```
data_Ge7H18O23
_cell_length_a 7.669
_cell_length_b 7.766
_cell_length_c 7.953
_cell_angle_alpha 90.07
_cell_angle_beta 91.04
_cell_angle_gamma 90.25
_space_group_name_H-M_alt 'P 1'
_space_group_IT_number 1
loop_
_space_group_symop_operation_xyz
'x,y,z'
loop_
_atom_site_label
_atom_site_type_symbol
_atom_site_fract_x
_atom_site_fract_y
_atom_site_fract_z
Ge1 Ge 0.000 0.000 0.000
Ge2 Ge 0.000 0.283 0.747
Ge3 Ge 0.136 0.631 0.878
Ge4 Ge 0.138 0.130 0.354
Ge5 Ge 0.269 0.020 0.730
Ge6 Ge 0.280 0.276 0.013
Ge7 Ge 0.636 0.140 0.863
H1 H 0.168 0.766 0.438
H2 H 0.179 0.561 0.400
H3 H 0.339 0.731 0.293
H4 H 0.412 0.737 0.789
H5 H 0.484 0.907 0.324
H6 H 0.500 0.508 0.453
H7 H 0.540 0.290 0.432
H8 H 0.566 0.746 0.230
H9 H 0.590 0.402 0.606
H10 H 0.612 0.562 0.902
H11 H 0.661 0.825 0.592
H12 H 0.669 0.137 0.259
H13 H 0.686 0.755 0.900
H14 H 0.703 0.094 0.451
H15 H 0.760 0.414 0.143
H16 H 0.807 0.695 0.562
H17 H 0.874 0.575 0.184
H18 H 0.924 0.348 0.422
O1 O 0.002 0.271 0.487
O2 O 0.002 0.761 0.998
O3 O 0.012 0.520 0.724
O4 O 0.016 0.260 0.985
O5 O 0.018 0.025 0.749
O6 O 0.196 0.677 0.354
O7 O 0.246 0.990 0.495
O8 O 0.251 0.264 0.750
O9 O 0.257 0.028 0.981
O10 O 0.276 0.271 0.248
O11 O 0.276 0.513 0.009
O12 O 0.286 0.763 0.751
O13 O 0.458 0.809 0.246
O14 O 0.502 0.397 0.511
O15 O 0.509 0.017 0.719
O16 O 0.524 0.276 0.003
O17 O 0.606 0.672 0.844
O18 O 0.614 0.133 0.370
O19 O 0.712 0.756 0.503
O20 O 0.757 0.279 0.728
O21 O 0.758 0.995 0.987
O22 O 0.790 0.495 0.233
O23 O 0.991 0.011 0.233
```

Record 3
Starting from a PBE-relaxed structure, the X-ray powder pattern of Ge7H18O23 was calculated for Cu Kα X-rays.
Lines closer than 0.1° are merged.

Peak list (10 most intense, 2θ = 10–90°, in order of falling intensity)
11.04°, I = 100, hkl 0 0 1
11.26°, I = 98, hkl 0 1 0
11.38°, I = 88, hkl 1 0 0
19.53°, I = 25, hkl 1 1 -1
27.95°, I = 22, hkl 2 1 -1
27.77°, I = 19, hkl 1 2 -1
27.49°, I = 18, hkl 1 2 1
27.64°, I = 17, hkl 1 -1 2
32.18°, I = 15, hkl 0 2 -2
36.41°, I = 15, hkl 3 1 0

Atomic structure:
```
data_Ge7H18O23
_cell_length_a 7.777
_cell_length_b 7.860
_cell_length_c 8.012
_cell_angle_alpha 89.17
_cell_angle_beta 89.83
_cell_angle_gamma 89.41
_space_group_name_H-M_alt 'P 1'
_space_group_IT_number 1
loop_
_space_group_symop_operation_xyz
'x,y,z'
loop_
_atom_site_label
_atom_site_type_symbol
_atom_site_fract_x
_atom_site_fract_y
_atom_site_fract_z
Ge1 Ge 0.000 0.000 0.000
Ge2 Ge 0.004 0.276 0.728
Ge3 Ge 0.131 0.628 0.879
Ge4 Ge 0.144 0.129 0.389
Ge5 Ge 0.277 0.277 0.004
Ge6 Ge 0.287 0.011 0.734
Ge7 Ge 0.643 0.141 0.875
H1 H 0.053 0.859 0.290
H2 H 0.077 0.623 0.435
H3 H 0.157 0.596 0.256
H4 H 0.345 0.931 0.068
H5 H 0.402 0.775 0.260
H6 H 0.406 0.712 0.769
H7 H 0.411 0.401 0.623
H8 H 0.420 0.211 0.286
H9 H 0.514 0.752 0.090
H10 H 0.602 0.427 0.584
H11 H 0.605 0.534 0.963
H12 H 0.618 0.104 0.446
H13 H 0.644 0.073 0.256
H14 H 0.711 0.697 0.919
H15 H 0.717 0.379 0.273
H16 H 0.742 0.721 0.509
H17 H 0.842 0.851 0.615
H18 H 0.865 0.465 0.177
O1 O 0.000 0.766 0.994
O2 O 0.010 0.511 0.738
O3 O 0.012 0.270 0.495
O4 O 0.032 0.985 0.250
O5 O 0.035 0.021 0.760
O6 O 0.035 0.241 0.004
O7 O 0.136 0.681 0.341
O8 O 0.253 0.507 0.024
O9 O 0.256 0.257 0.760
O10 O 0.264 0.012 0.987
O11 O 0.282 0.002 0.509
O12 O 0.286 0.757 0.756
O13 O 0.292 0.241 0.250
O14 O 0.454 0.836 0.165
O15 O 0.488 0.477 0.562
O16 O 0.510 0.274 0.998
O17 O 0.520 0.008 0.747
O18 O 0.593 0.652 0.924
O19 O 0.604 0.159 0.336
O20 O 0.757 0.491 0.234
O21 O 0.767 0.014 0.014
O22 O 0.771 0.270 0.743
O23 O 0.807 0.826 0.501
```

Record 4
Starting from a PBE-relaxed structure, the X-ray powder pattern of Ge7H18O23 was calculated for Cu Kα X-rays.
Lines closer than 0.1° are merged.

Peak list (10 most intense, 2θ = 10–90°, in order of falling intensity)
11.34°, I = 100, hkl 1 0 0
11.22°, I = 52, hkl 0 0 1
19.95°, I = 13, hkl 1 -1 1
22.78°, I = 11, hkl 0 2 0
28.40°, I = 11, hkl 2 -1 1
27.44°, I = 9, hkl 1 2 1
28.04°, I = 9, hkl -1 1 2
35.98°, I = 8, hkl 1 0 3
19.25°, I = 8, hkl 1 1 1
27.60°, I = 8, hkl 2 1 -1

Atomic structure:
```
data_Ge7H18O23
_cell_length_a 7.793
_cell_length_b 7.825
_cell_length_c 7.887
_cell_angle_alpha 89.71
_cell_angle_beta 89.64
_cell_angle_gamma 87.29
_space_group_name_H-M_alt 'P 1'
_space_group_IT_number 1
loop_
_space_group_symop_operation_xyz
'x,y,z'
loop_
_atom_site_label
_atom_site_type_symbol
_atom_site_fract_x
_atom_site_fract_y
_atom_site_fract_z
Ge1 Ge 0.000 0.000 0.000
Ge2 Ge 0.000 0.251 0.280
Ge3 Ge 0.362 0.108 0.134
Ge4 Ge 0.714 0.259 0.019
Ge5 Ge 0.732 0.980 0.282
Ge6 Ge 0.850 0.126 0.632
Ge7 Ge 0.869 0.609 0.143
H1 H 0.024 0.802 0.638
H2 H 0.040 0.687 0.470
H3 H 0.105 0.676 0.956
H4 H 0.184 0.059 0.662
H5 H 0.189 0.546 0.731
H6 H 0.274 0.126 0.472
H7 H 0.306 0.449 0.875
H8 H 0.374 0.975 0.611
H9 H 0.386 0.717 0.781
H10 H 0.453 0.557 0.303
H11 H 0.453 0.764 0.210
H12 H 0.495 0.871 0.836
H13 H 0.522 0.595 0.107
H14 H 0.573 0.360 0.364
H15 H 0.588 0.510 0.495
H16 H 0.641 0.664 0.697
H17 H 0.730 0.405 0.728
H18 H 0.832 0.617 0.622
O1 O 0.003 0.003 0.756
O2 O 0.014 0.484 0.262
O3 O 0.033 0.683 0.594
O4 O 0.236 0.985 0.999
O5 O 0.238 0.208 0.300
O6 O 0.253 0.560 0.837
O7 O 0.295 0.079 0.597
O8 O 0.425 0.641 0.183
O9 O 0.469 0.801 0.738
O10 O 0.475 0.257 0.011
O11 O 0.497 0.960 0.248
O12 O 0.503 0.454 0.421
O13 O 0.711 0.501 0.029
O14 O 0.717 0.570 0.649
O15 O 0.717 0.996 0.518
O16 O 0.728 0.233 0.260
O17 O 0.730 0.274 0.772
O18 O 0.754 0.010 0.010
O19 O 0.760 0.747 0.282
O20 O 0.974 0.244 0.030
O21 O 0.975 0.261 0.511
O22 O 0.978 0.002 0.254
O23 O 0.997 0.740 0.998
```